(1)
Structure and theoretical X-ray diffraction stick pattern of MnZnO3 (DFT lattice parameters and positions (GGA+U); Cu Ka).
Lines closer than 0.1° are merged.

Atomic structure:
Cell lengths 5.4937, 5.4937, 5.4937 Å; angles 54.75, 54.75, 54.75 degrees
Atoms (fractional coordinates):
Mn: 0.1590 0.1590 0.1590
Mn: 0.8410 0.8410 0.8410
Zn: 0.3669 0.3669 0.3669
Zn: 0.6331 0.6331 0.6331
O: 0.0472 0.7819 0.4385
O: 0.2181 0.5615 0.9528
O: 0.4385 0.0472 0.7819
O: 0.5615 0.9528 0.2181
O: 0.7819 0.4385 0.0472
O: 0.9528 0.2181 0.5615

Principal peaks in the range 10° ≤ 2θ ≤ 90°, by angle:
2theta	I/Imax
24.0	29
32.8	100
35.5	83
38.2	15
40.6	16
49.1	38
53.5	40
62.1	33
63.8	33
71.3	12

***

(2)
Structure and theoretical X-ray diffraction stick pattern of Mn3ZnO10 (DFT lattice parameters and positions (GGA+U); Cu Ka).
Lines closer than 0.1° are merged.

Atomic structure:
Cell lengths 9.0650, 9.0650, 9.0650 Å; angles 50.69, 50.69, 50.69 degrees
Atoms (fractional coordinates):
Mn: 0.0704 0.7821 0.6481
Mn: 0.2179 0.3519 0.9296
Mn: 0.3519 0.9296 0.2179
Mn: 0.6481 0.0704 0.7821
Mn: 0.7821 0.6481 0.0704
Mn: 0.9296 0.2179 0.3519
Zn: 0.4365 0.4365 0.4365
Zn: 0.5635 0.5635 0.5635
O: 0.0692 0.6305 0.9233
O: 0.0767 0.9308 0.3695
O: 0.0790 0.5109 0.4126
O: 0.1892 0.5060 0.6702
O: 0.2068 0.2068 0.2068
O: 0.3298 0.8108 0.4941
O: 0.3695 0.0767 0.9308
O: 0.4126 0.0790 0.5109
O: 0.4891 0.5874 0.9210
O: 0.4941 0.3298 0.8108
O: 0.5059 0.6702 0.1892
O: 0.5109 0.4126 0.0790
O: 0.5874 0.9210 0.4891
O: 0.6305 0.9233 0.0692
O: 0.6702 0.1892 0.5059
O: 0.7932 0.7932 0.7932
O: 0.8108 0.4941 0.3298
O: 0.9210 0.4891 0.5874
O: 0.9233 0.0692 0.6305
O: 0.9308 0.3695 0.0767

Principal peaks in the range 10° ≤ 2θ ≤ 90°, by angle:
2theta	I/Imax
11.2	100
13.7	8
22.6	11
32.4	6
33.1	6
35.5	15
38.6	15
44.6	7
63.4	6
64.6	8

***

(3)
Structure and theoretical X-ray diffraction stick pattern of Mn2Zn2O5 (DFT lattice parameters and positions (GGA+U); Cu Ka).
Lines closer than 0.1° are merged.

Atomic structure:
Cell lengths 5.4722, 10.4898, 3.6322 Å; angles 90.00, 90.00, 90.00 degrees
Atoms (fractional coordinates):
Mn: 0.2358 0.1325 0.0000
Mn: 0.2642 0.6325 0.0000
Mn: 0.7358 0.3675 0.0000
Mn: 0.7642 0.8675 0.0000
Zn: 0.2298 0.9005 0.5000
Zn: 0.2702 0.4005 0.5000
Zn: 0.7298 0.5995 0.5000
Zn: 0.7702 0.0995 0.5000
O: 0.0000 0.5000 0.0000
O: 0.1320 0.8179 0.0000
O: 0.1826 0.0940 0.5000
O: 0.3174 0.5940 0.5000
O: 0.3680 0.3179 0.0000
O: 0.5000 0.0000 0.0000
O: 0.6320 0.6821 0.0000
O: 0.6826 0.4060 0.5000
O: 0.8174 0.9060 0.5000
O: 0.8680 0.1821 0.0000

Principal peaks in the range 10° ≤ 2θ ≤ 90°, by angle:
2theta	I/Imax
29.9	7
32.7	35
34.2	100
48.1	21
50.2	16
58.6	8
59.4	20
61.2	21
62.2	8
72.1	12

***

(4)
Structure and theoretical X-ray diffraction stick pattern of Mn3ZnO7 (DFT lattice parameters and positions (GGA+U); Cu Ka).
Lines closer than 0.1° are merged.

Atomic structure:
Cell lengths 9.3444, 10.4474, 5.5524 Å; angles 90.00, 90.00, 90.00 degrees
Atoms (fractional coordinates):
Mn: 0.2063 0.0228 0.2273
Mn: 0.2063 0.4772 0.2273
Mn: 0.2398 0.2500 0.7275
Mn: 0.2602 0.7500 0.2275
Mn: 0.2937 0.5228 0.7273
Mn: 0.2937 0.9772 0.7273
Mn: 0.7063 0.0228 0.2727
Mn: 0.7063 0.4772 0.2727
Mn: 0.7398 0.2500 0.7725
Mn: 0.7602 0.7500 0.2725
Mn: 0.7937 0.5228 0.7727
Mn: 0.7937 0.9772 0.7727
Zn: 0.0097 0.7500 0.6175
Zn: 0.4903 0.2500 0.1175
Zn: 0.5097 0.7500 0.8825
Zn: 0.9903 0.2500 0.3825
O: 0.0334 0.0879 0.2276
O: 0.0334 0.4121 0.2276
O: 0.0528 0.2500 0.7191
O: 0.2105 0.6190 0.4598
O: 0.2105 0.8810 0.4598
O: 0.2229 0.6157 0.9990
O: 0.2229 0.8843 0.9990
O: 0.2771 0.1157 0.4990
O: 0.2771 0.3843 0.4990
O: 0.2895 0.1190 0.9598
O: 0.2895 0.3810 0.9598
O: 0.4472 0.7500 0.2191
O: 0.4666 0.5879 0.7276
O: 0.4666 0.9121 0.7276
O: 0.5334 0.0879 0.2724
O: 0.5334 0.4121 0.2724
O: 0.5528 0.2500 0.7809
O: 0.7105 0.6190 0.0402
O: 0.7105 0.8810 0.0402
O: 0.7229 0.6157 0.5010
O: 0.7229 0.8843 0.5010
O: 0.7771 0.1157 0.0010
O: 0.7771 0.3843 0.0010
O: 0.7895 0.1190 0.5402
O: 0.7895 0.3810 0.5402
O: 0.9472 0.7500 0.2809
O: 0.9666 0.5879 0.7724
O: 0.9666 0.9121 0.7724

Principal peaks in the range 10° ≤ 2θ ≤ 90°, by angle:
2theta	I/Imax
19.0	62
25.3	46
25.6	72
26.3	100
30.3	89
36.0	40
38.5	55
47.8	35
51.9	55
56.3	31